(1)
This entry pairs a crystal structure of GaPHIrPtS with its calculated X-ray diffraction stick pattern. Radiation: λ = 1.5418 Å (Cu Kα). Structure: a cell relaxed with GGA-PBE.
Neutral-atom scattering factors, no anomalous dispersion.

Top 10 peaks for 2θ = 10–90°, sorted by position:
2θ/deg	intensity	index
19.7	28.6	0 1 0
22.1	37.9	0 1 -1
25.7	27.9	1 0 -1
28.4	22.1	0 1 1
31.4	100.0	1 1 -1
32.1	41.8	0 0 2
43.1	33.6	1 1 1
47.8	40.0	1 1 -3
48.7	16.1	1 2 -2
50.1	34.2	2 0 -1

Cell and atoms:
```
data_GaPHIrPtS
_space_group_name_H-M_alt 'P 1'
_space_group_IT_number 1
_space_group_name_Hall 'P 1'
_cell_length_a 3.644
_cell_length_b 4.643
_cell_length_c 6.035
_cell_angle_alpha 103.70
_cell_angle_beta 107.48
_cell_angle_gamma 90.01
loop_
_atom_site_label
_atom_site_fract_x
_atom_site_fract_y
_atom_site_fract_z
Ga1 0.000 0.000 0.000
P1 0.655 0.625 0.311
H1 0.313 0.693 0.634
Ir1 0.204 0.374 0.410
Pt1 0.458 0.616 0.915
S1 0.768 0.085 0.537
```

***

(2)
This entry pairs a crystal structure of Hg3As2Pb8 with its calculated X-ray diffraction stick pattern. Radiation: λ = 1.5418 Å (Cu Kα). Structure: a cell relaxed with GGA-PBE.
Neutral-atom scattering factors, no anomalous dispersion.

Top 10 peaks for 2θ = 10–90°, sorted by position:
2θ/deg	intensity	index
26.2	34.2	0 2 1
30.7	19.5	2 2 1
31.0	67.6	0 0 2
31.2	47.7	5 1 0
31.7	100.0	4 2 -1
35.2	29.3	1 3 -1
36.8	47.4	5 1 -2
38.7	45.7	4 2 1
50.6	24.1	4 2 -3
61.4	23.1	9 3 -1

Cell and atoms:
```
data_Hg3As2Pb8
_space_group_name_H-M_alt 'C 1 2/m 1'
_space_group_IT_number 12
_space_group_name_Hall '-C 2y'
_cell_length_a 16.136
_cell_length_b 8.437
_cell_length_c 6.097
_cell_angle_alpha 90.00
_cell_angle_beta 108.89
_cell_angle_gamma 90.00
loop_
_atom_site_label
_atom_site_fract_x
_atom_site_fract_y
_atom_site_fract_z
Hg1 0.000 0.000 0.000
Hg2 0.000 0.187 0.500
As1 0.231 0.000 0.079
Pb1 0.114 0.500 0.507
Pb2 0.126 0.289 0.034
Pb3 0.180 0.000 0.556
```

***

(3)
This entry pairs a crystal structure of TmMgScPa with its calculated X-ray diffraction stick pattern. Radiation: λ = 1.5418 Å (Cu Kα). Structure: a cell relaxed with GGA-PBE.
Neutral-atom scattering factors, no anomalous dispersion.

Top 10 peaks for 2θ = 10–90°, sorted by position:
2θ/deg	intensity	index
20.7	57.6	1 1 1
34.1	100.0	2 2 0
40.2	33.0	3 1 1
49.0	18.1	4 0 0
53.7	14.7	3 3 1
61.0	37.5	4 2 2
65.2	11.2	5 1 1
71.8	11.6	4 4 0
75.6	11.1	5 3 1
81.9	16.4	6 2 0

Cell and atoms:
```
data_TmMgScPa
_space_group_name_H-M_alt 'F -4 3 m'
_space_group_IT_number 216
_space_group_name_Hall 'F -4 2 3'
_cell_length_a 7.438
_cell_length_b 7.438
_cell_length_c 7.438
_cell_angle_alpha 90.00
_cell_angle_beta 90.00
_cell_angle_gamma 90.00
loop_
_atom_site_label
_atom_site_fract_x
_atom_site_fract_y
_atom_site_fract_z
Tm1 0.000 0.000 0.000
Mg1 0.250 0.250 0.750
Sc1 0.000 0.000 0.500
Pa1 0.250 0.250 0.250
```

***

(4)
This entry pairs a crystal structure of ErAl2Fe9 with its calculated X-ray diffraction stick pattern. Radiation: λ = 1.5418 Å (Cu Kα). Structure: a cell relaxed with GGA-PBE.
Neutral-atom scattering factors, no anomalous dispersion.

Top 10 peaks for 2θ = 10–90°, sorted by position:
2θ/deg	intensity	index
11.5	38.2	0 0 3
26.1	31.1	1 0 4
36.8	26.8	1 1 0
37.7	20.4	0 1 8
38.7	20.5	1 1 3
43.0	32.2	0 2 1
43.5	21.2	2 0 2
43.9	100.0	1 1 6
47.1	24.6	0 0 12
71.3	22.0	0 3 6

Cell and atoms:
```
data_ErAl2Fe9
_space_group_name_H-M_alt 'R -3 m'
_space_group_IT_number 166
_space_group_name_Hall '-R 3 2"'
_cell_length_a 4.8795
_cell_length_b 4.8795
_cell_length_c 23.1327
_cell_angle_alpha 90.00
_cell_angle_beta 90.00
_cell_angle_gamma 120.00
loop_
_atom_site_label
_atom_site_fract_x
_atom_site_fract_y
_atom_site_fract_z
Er1 0.0000 0.0000 0.0000
Al1 0.0000 0.0000 0.1429
Fe1 0.0000 0.0000 0.3344
Fe2 0.0000 0.0000 0.5000
Fe3 0.0071 0.5035 0.9126
```